# Sr3La2Fe4CoO15
Simulated powder diffraction line list, λ = 1.5418 Å (Cu Kα). Input: a structure optimized by DFT (GGA+U).
No peak broadening, texture or thermal motion is included.

Atomic structure:
Cell lengths 11.699, 11.699, 11.699 Å; angles 27.29, 27.29, 27.29 degrees
Positions (direct):
1 Sr 0.000 0.000 0.000
2 Sr 0.199 0.199 0.199
3 Sr 0.801 0.801 0.801
4 La 0.403 0.403 0.403
5 La 0.597 0.597 0.597
6 Fe 0.101 0.101 0.101
7 Fe 0.300 0.300 0.300
8 Fe 0.700 0.700 0.700
9 Fe 0.899 0.899 0.899
10 Co 0.500 0.500 0.500
11 O 0.000 0.500 0.500
12 O 0.101 0.101 0.599
13 O 0.101 0.599 0.101
14 O 0.214 0.694 0.694
15 O 0.306 0.306 0.786
16 O 0.306 0.786 0.306
17 O 0.401 0.899 0.899
18 O 0.500 0.000 0.500
19 O 0.500 0.500 0.000
20 O 0.599 0.101 0.101
21 O 0.694 0.214 0.694
22 O 0.694 0.694 0.214
23 O 0.786 0.306 0.306
24 O 0.899 0.401 0.899
25 O 0.899 0.899 0.401

Top 6 peaks for 5° ≤ 2θ ≤ 70°, sorted by position:
| 2θ/deg | Rel. int. |
| --- | --- |
| 22.79 | 4 |
| 32.45 | 100 |
| 40.02 | 15 |
| 46.55 | 36 |
| 57.89 | 37 |
| 67.95 | 20 |